CrO2: simulated PXRD pattern (CuKα), based on the GGA+U geometry in the Materials Project.

The 8 most intense peaks (10° ≤ 2θ ≤ 90°), sorted by position:
- 2θ 18.5, intensity 100
- 2θ 35.3, intensity 31
- 2θ 43.2, intensity 46
- 2θ 47.3, intensity 7
- 2θ 57.4, intensity 15
- 2θ 62.3, intensity 14
- 2θ 63.1, intensity 9
- 2θ 65.6, intensity 14

Structure:
Cell: 5.090 5.090 5.090 Å, 34.05 34.05 34.05°
Sites, in units of the cell vectors:
Cr  0.000  0.000  0.000
O  0.269  0.269  0.269
O  0.731  0.731  0.731

=====

MgMo2P2O9: simulated PXRD pattern (CuKα), based on the GGA+U geometry in the Materials Project.

The 8 most intense peaks (10° ≤ 2θ ≤ 90°), sorted by position:
- 2θ 11.9, intensity 31
- 2θ 17.1, intensity 55
- 2θ 21.7, intensity 52
- 2θ 25.4, intensity 66
- 2θ 30.2, intensity 100
- 2θ 32.5, intensity 42
- 2θ 38.7, intensity 27
- 2θ 52.5, intensity 31

Structure:
Cell: 14.915 6.656 7.228 Å, 90.00 90.00 90.00°
Sites, in units of the cell vectors:
Mg  0.229  0.250  0.072
Mg  0.271  0.750  0.572
Mg  0.729  0.250  0.428
Mg  0.771  0.750  0.928
Mo  0.000  0.000  0.000
Mo  0.000  0.500  0.000
Mo  0.124  0.250  0.629
Mo  0.376  0.750  0.129
Mo  0.500  0.000  0.500
Mo  0.500  0.500  0.500
Mo  0.624  0.250  0.871
Mo  0.876  0.750  0.371
P  0.079  0.750  0.622
P  0.192  0.750  0.102
P  0.308  0.250  0.602
P  0.421  0.250  0.122
P  0.579  0.750  0.878
P  0.692  0.750  0.398
P  0.808  0.250  0.898
P  0.921  0.250  0.378
O  0.010  0.750  0.470
O  0.029  0.750  0.814
O  0.065  0.250  0.886
O  0.137  0.551  0.104
O  0.137  0.949  0.104
O  0.145  0.571  0.612
O  0.145  0.929  0.612
O  0.241  0.250  0.436
O  0.248  0.250  0.782
O  0.252  0.750  0.282
O  0.259  0.750  0.936
O  0.355  0.071  0.112
O  0.355  0.429  0.112
O  0.363  0.051  0.604
O  0.363  0.449  0.604
O  0.435  0.750  0.386
O  0.471  0.250  0.314
O  0.490  0.250  0.970
O  0.510  0.750  0.030
O  0.529  0.750  0.686
O  0.565  0.250  0.614
O  0.637  0.551  0.396
O  0.637  0.949  0.396
O  0.645  0.571  0.888
O  0.645  0.929  0.888
O  0.741  0.250  0.064
O  0.748  0.250  0.718
O  0.752  0.750  0.218
O  0.759  0.750  0.564
O  0.855  0.071  0.388
O  0.855  0.429  0.388
O  0.863  0.051  0.896
O  0.863  0.449  0.896
O  0.935  0.750  0.114
O  0.971  0.250  0.186
O  0.990  0.250  0.530

=====

Li7Mn11O24: simulated PXRD pattern (CuKα), based on the GGA+U geometry in the Materials Project.

The 8 most intense peaks (10° ≤ 2θ ≤ 90°), sorted by position:
- 2θ 18.3, intensity 100
- 2θ 18.6, intensity 49
- 2θ 35.0, intensity 12
- 2θ 35.7, intensity 17
- 2θ 36.2, intensity 26
- 2θ 42.4, intensity 30
- 2θ 43.8, intensity 54
- 2θ 62.6, intensity 33

Structure:
Cell: 5.935 5.935 14.591 Å, 90.96 90.96 58.21°
Sites, in units of the cell vectors:
Li  0.000  0.000  0.000
Li  0.021  0.021  0.144
Li  0.328  0.328  0.199
Li  0.342  0.342  0.456
Li  0.658  0.658  0.544
Li  0.672  0.672  0.801
Li  0.979  0.979  0.856
Mn  0.000  0.000  0.500
Mn  0.000  0.500  0.000
Mn  0.162  0.662  0.667
Mn  0.165  0.165  0.668
Mn  0.337  0.337  0.840
Mn  0.338  0.838  0.333
Mn  0.500  0.000  0.000
Mn  0.662  0.162  0.667
Mn  0.663  0.663  0.160
Mn  0.835  0.835  0.332
Mn  0.838  0.338  0.333
O  0.015  0.015  0.265
O  0.038  0.485  0.744
O  0.147  0.637  0.915
O  0.161  0.161  0.405
O  0.161  0.708  0.409
O  0.178  0.178  0.921
O  0.292  0.839  0.591
O  0.322  0.322  0.067
O  0.345  0.345  0.593
O  0.363  0.853  0.085
O  0.479  0.479  0.748
O  0.485  0.038  0.744
O  0.515  0.962  0.256
O  0.521  0.521  0.252
O  0.637  0.147  0.915
O  0.655  0.655  0.407
O  0.678  0.678  0.933
O  0.708  0.161  0.409
O  0.822  0.822  0.079
O  0.839  0.292  0.591
O  0.839  0.839  0.595
O  0.853  0.363  0.085
O  0.962  0.515  0.256
O  0.985  0.985  0.735

=====

Sr2NdVO6: simulated PXRD pattern (CuKα), based on the GGA+U geometry in the Materials Project.

The 8 most intense peaks (10° ≤ 2θ ≤ 90°), sorted by position:
- 2θ 18.3, intensity 11
- 2θ 30.1, intensity 100
- 2θ 35.5, intensity 11
- 2θ 43.2, intensity 34
- 2θ 53.5, intensity 39
- 2θ 62.7, intensity 20
- 2θ 71.1, intensity 18
- 2θ 87.0, intensity 21

Structure:
Cell: 5.929 5.929 5.929 Å, 60.00 60.00 60.00°
Sites, in units of the cell vectors:
Sr  0.250  0.250  0.250
Sr  0.750  0.750  0.750
Nd  0.000  0.000  0.000
V  0.500  0.500  0.500
O  0.273  0.273  0.727
O  0.273  0.727  0.273
O  0.273  0.727  0.727
O  0.727  0.273  0.273
O  0.727  0.273  0.727
O  0.727  0.727  0.273

=====

Li4FeW3O12: simulated PXRD pattern (CuKα), based on the GGA+U geometry in the Materials Project.

The 8 most intense peaks (10° ≤ 2θ ≤ 90°), sorted by position:
- 2θ 20.0, intensity 56
- 2θ 20.2, intensity 100
- 2θ 32.0, intensity 38
- 2θ 32.2, intensity 36
- 2θ 35.1, intensity 33
- 2θ 40.6, intensity 16
- 2θ 41.0, intensity 20
- 2θ 50.7, intensity 14

Structure:
Cell: 10.195 10.195 5.119 Å, 90.33 90.33 120.65°
Sites, in units of the cell vectors:
Li  0.000  0.000  0.000
Li  0.009  0.491  0.500
Li  0.321  0.178  0.999
Li  0.323  0.677  0.500
Li  0.500  0.500  0.000
Li  0.509  0.991  0.500
Li  0.822  0.679  0.001
Li  0.824  0.176  0.500
Fe  0.204  0.297  0.498
Fe  0.703  0.796  0.502
W  0.102  0.898  0.500
W  0.121  0.380  0.999
W  0.211  0.789  0.000
W  0.602  0.398  0.500
W  0.620  0.879  0.001
W  0.710  0.290  0.000
O  0.009  0.302  0.686
O  0.018  0.778  0.818
O  0.078  0.198  0.156
O  0.094  0.707  0.315
O  0.155  0.082  0.657
O  0.157  0.599  0.855
O  0.199  0.492  0.312
O  0.222  0.982  0.182
O  0.293  0.906  0.685
O  0.302  0.420  0.845
O  0.401  0.843  0.145
O  0.418  0.345  0.345
O  0.508  0.801  0.688
O  0.519  0.279  0.818
O  0.580  0.698  0.155
O  0.594  0.207  0.316
O  0.655  0.582  0.655
O  0.656  0.099  0.856
O  0.698  0.991  0.314
O  0.721  0.481  0.182
O  0.793  0.406  0.684
O  0.802  0.922  0.844
O  0.901  0.344  0.144
O  0.918  0.845  0.343

=====

Li2FeF4: simulated PXRD pattern (CuKα), based on the GGA+U geometry in the Materials Project.

The 8 most intense peaks (10° ≤ 2θ ≤ 90°), sorted by position:
- 2θ 16.3, intensity 100
- 2θ 23.2, intensity 98
- 2θ 23.8, intensity 39
- 2θ 24.9, intensity 98
- 2θ 27.2, intensity 69
- 2θ 32.4, intensity 79
- 2θ 36.9, intensity 47
- 2θ 48.8, intensity 49

Structure:
Cell: 5.530 5.858 5.878 Å, 67.81 87.79 88.17°
Sites, in units of the cell vectors:
Li  0.000  0.000  0.000
Li  0.180  0.746  0.794
Li  0.363  0.532  0.549
Li  0.679  0.778  0.768
Fe  0.476  0.147  0.164
Fe  0.885  0.384  0.387
F  0.023  0.576  0.576
F  0.340  0.957  0.970
F  0.435  0.475  0.882
F  0.453  0.861  0.490
F  0.510  0.366  0.378
F  0.852  0.166  0.171
F  0.914  0.059  0.673
F  0.915  0.667  0.057

=====

Ba2La2Mn4O11: simulated PXRD pattern (CuKα), based on the GGA+U geometry in the Materials Project.

The 8 most intense peaks (10° ≤ 2θ ≤ 90°), sorted by position:
- 2θ 31.4, intensity 100
- 2θ 31.5, intensity 91
- 2θ 32.2, intensity 96
- 2θ 39.1, intensity 48
- 2θ 43.7, intensity 32
- 2θ 55.4, intensity 37
- 2θ 56.9, intensity 39
- 2θ 57.1, intensity 36

Structure:
Cell: 8.898 8.898 3.915 Å, 90.00 90.00 124.55°
Sites, in units of the cell vectors:
Ba  0.000  0.500  0.000
Ba  0.500  0.000  0.000
La  0.232  0.232  0.000
La  0.768  0.768  0.000
Mn  0.125  0.875  0.500
Mn  0.380  0.620  0.500
Mn  0.620  0.380  0.500
Mn  0.875  0.125  0.500
O  0.000  0.000  0.500
O  0.116  0.884  0.000
O  0.163  0.374  0.500
O  0.247  0.753  0.500
O  0.374  0.163  0.500
O  0.407  0.593  0.000
O  0.593  0.407  0.000
O  0.626  0.837  0.500
O  0.753  0.247  0.500
O  0.837  0.626  0.500
O  0.884  0.116  0.000

=====

KLaZrMnO6: simulated PXRD pattern (CuKα), based on the GGA+U geometry in the Materials Project.

The 8 most intense peaks (10° ≤ 2θ ≤ 90°), sorted by position:
- 2θ 19.2, intensity 26
- 2θ 31.6, intensity 100
- 2θ 37.3, intensity 16
- 2θ 45.3, intensity 36
- 2θ 49.7, intensity 8
- 2θ 56.3, intensity 38
- 2θ 66.0, intensity 21
- 2θ 75.1, intensity 16

Structure:
Cell: 5.659 5.659 5.659 Å, 60.00 60.00 60.00°
Sites, in units of the cell vectors:
K  0.000  0.000  0.000
La  0.500  0.500  0.500
Zr  0.250  0.250  0.250
Mn  0.750  0.750  0.750
O  0.511  0.511  0.989
O  0.511  0.989  0.511
O  0.511  0.989  0.989
O  0.989  0.511  0.511
O  0.989  0.511  0.989
O  0.989  0.989  0.511